No. 1
This entry pairs a crystal structure of HgC2O4 with its simulated XRD peak list. Radiation: copper Kα. Structure: DFT lattice parameters and positions (GGA-PBE).
Kinematic intensities with the Lorentz-polarization factor, no thermal factor.

Structure:
```
data_HgC2O4
_chemical_formula_sum 'Hg2 C4 O8'
_cell_length_a 5.1112
_cell_length_b 5.3505
_cell_length_c 6.7733
_cell_angle_alpha 90.00
_cell_angle_beta 108.72
_cell_angle_gamma 90.00
_symmetry_space_group_name_H-M 'P 1 21/c 1'
_symmetry_Int_Tables_number 14
loop_
_symmetry_equiv_pos_as_xyz
'x,y,z'
'-x,-y,-z'
'-x,y+1/2,-z+1/2'
'x,-y+1/2,z+1/2'
loop_
_atom_site_label
_atom_site_fract_x
_atom_site_fract_y
_atom_site_fract_z
Hg1 0.0000 0.0000 0.0000
C1 0.4508 0.1275 0.5321
O1 0.1927 0.1735 0.4309
O2 0.3879 0.7381 0.3339
```

Largest 10 diffraction maxima, sorted by position, 10 to 80 degrees two-theta:
index, 2theta, Rel. int.
1 0 0, 18.33, 59.2
0 1 1, 21.63, 90.8
1 1 -1, 25.39, 100.0
0 0 2, 27.81, 45.3
1 1 1, 31.32, 54.6
1 0 2, 38.32, 22.2
1 2 0, 38.45, 36.2
2 1 -1, 39.12, 31.0
1 1 -3, 43.82, 25.9
1 2 -2, 44.21, 23.7

No. 2
This entry pairs a crystal structure of SmTiVFe10 with its simulated XRD peak list. Radiation: copper Kα. Structure: DFT lattice parameters and positions (GGA-PBE).
Kinematic intensities with the Lorentz-polarization factor, no thermal factor.

Structure:
```
data_SmTiVFe10
_chemical_formula_sum 'Sm2 Ti2 V2 Fe20'
_cell_length_a 4.7018
_cell_length_b 8.5429
_cell_length_c 8.6063
_cell_angle_alpha 90.00
_cell_angle_beta 90.00
_cell_angle_gamma 90.00
_symmetry_space_group_name_H-M 'I m m 2'
_symmetry_Int_Tables_number 44
loop_
_symmetry_equiv_pos_as_xyz
'x,y,z'
'-x,-y,z'
'-x,y,z'
'x,-y,z'
'x+1/2,y+1/2,z+1/2'
'-x+1/2,-y+1/2,z+1/2'
'-x+1/2,y+1/2,z+1/2'
'x+1/2,-y+1/2,z+1/2'
loop_
_atom_site_label
_atom_site_fract_x
_atom_site_fract_y
_atom_site_fract_z
Sm1 0.0000 0.0000 0.0000
Ti1 0.0000 0.0000 0.3592
V1 0.0000 0.0000 0.6500
Fe1 0.0000 0.2730 0.5010
Fe2 0.0000 0.3590 0.9992
Fe3 0.0000 0.5000 0.2698
Fe4 0.0000 0.5000 0.7269
Fe5 0.2495 0.2484 0.7501
```

Largest 10 diffraction maxima, sorted by position, 10 to 80 degrees two-theta:
index, 2theta, Rel. int.
1 2 1, 30.08, 61.9
1 0 3, 36.70, 30.7
1 3 0, 36.90, 29.7
0 0 4, 41.99, 52.1
0 4 0, 42.32, 43.4
1 2 3, 42.55, 68.9
1 3 2, 42.65, 75.3
2 0 2, 43.92, 100.0
2 2 2, 49.04, 39.7
3 3 2, 72.19, 27.7

No. 3
This entry pairs a crystal structure of Li3Si3Ag2 with its simulated XRD peak list. Radiation: copper Kα. Structure: DFT lattice parameters and positions (GGA-PBE).
Kinematic intensities with the Lorentz-polarization factor, no thermal factor.

Structure:
```
data_Li3Si3Ag2
_chemical_formula_sum 'Li6 Si6 Ag4'
_cell_length_a 6.2337
_cell_length_b 6.2337
_cell_length_c 6.3380
_cell_angle_alpha 90.00
_cell_angle_beta 90.00
_cell_angle_gamma 90.00
_symmetry_space_group_name_H-M 'P 42/n n m'
_symmetry_Int_Tables_number 134
loop_
_symmetry_equiv_pos_as_xyz
'x,y,z'
'-x,-y,-z'
'-y+1/2,x,z+1/2'
'y+1/2,-x,-z+1/2'
'-x+1/2,-y+1/2,z'
'x+1/2,y+1/2,-z'
'y,-x+1/2,z+1/2'
'-y,x+1/2,-z+1/2'
'x,-y+1/2,-z+1/2'
'-x,y+1/2,z+1/2'
'-y+1/2,-x+1/2,-z'
'y+1/2,x+1/2,z'
'-x+1/2,y,-z+1/2'
'x+1/2,-y,z+1/2'
'y,x,-z'
'-y,-x,z'
loop_
_atom_site_label
_atom_site_fract_x
_atom_site_fract_y
_atom_site_fract_z
Li1 0.0000 0.0000 0.0000
Li2 0.2500 0.7500 0.2500
Si1 0.2500 0.2500 0.2500
Si2 0.2500 0.7500 0.7500
Ag1 0.0000 0.0000 0.5000
```

Largest 10 diffraction maxima, sorted by position, 10 to 80 degrees two-theta:
index, 2theta, Rel. int.
1 1 1, 24.60, 100.0
2 0 0, 28.64, 15.0
2 0 2, 40.60, 59.9
2 2 0, 40.95, 29.2
1 1 3, 47.74, 16.0
3 1 1, 48.35, 30.7
4 0 0, 59.30, 9.3
3 1 3, 64.67, 12.2
2 2 4, 73.63, 9.7
4 2 2, 74.34, 18.9

No. 4
This entry pairs a crystal structure of Mg3Mn with its simulated XRD peak list. Radiation: copper Kα. Structure: DFT lattice parameters and positions (GGA-PBE).
Kinematic intensities with the Lorentz-polarization factor, no thermal factor.

Structure:
```
data_Mg3Mn
_chemical_formula_sum 'Mg3 Mn1'
_cell_length_a 3.0951
_cell_length_b 4.9005
_cell_length_c 5.3015
_cell_angle_alpha 90.00
_cell_angle_beta 90.00
_cell_angle_gamma 90.00
_symmetry_space_group_name_H-M 'P m m 2'
_symmetry_Int_Tables_number 25
loop_
_symmetry_equiv_pos_as_xyz
'x,y,z'
'-x,-y,z'
'-x,y,z'
'x,-y,z'
loop_
_atom_site_label
_atom_site_fract_x
_atom_site_fract_y
_atom_site_fract_z
Mg1 0.0000 0.0000 0.0000
Mg2 0.0000 0.5000 0.3423
Mg3 0.5000 0.0000 0.5184
Mn1 0.5000 0.5000 0.8439
```

Largest 10 diffraction maxima, sorted by position, 10 to 80 degrees two-theta:
index, 2theta, Rel. int.
0 0 1, 16.72, 17.1
1 0 1, 33.53, 27.6
0 0 2, 33.82, 13.7
0 2 0, 36.68, 37.3
1 1 1, 38.36, 100.0
0 1 2, 38.62, 48.4
1 2 1, 50.53, 16.1
1 0 3, 60.31, 15.8
1 3 1, 67.16, 17.2
1 2 3, 72.70, 17.3

No. 5
This entry pairs a crystal structure of Rb2YCuI6 with its simulated XRD peak list. Radiation: copper Kα. Structure: DFT lattice parameters and positions (GGA-PBE).
Kinematic intensities with the Lorentz-polarization factor, no thermal factor.

Structure:
```
data_Rb2YCuI6
_chemical_formula_sum 'Rb8 Y4 Cu4 I24'
_cell_length_a 11.8398
_cell_length_b 11.8398
_cell_length_c 11.8398
_cell_angle_alpha 90.00
_cell_angle_beta 90.00
_cell_angle_gamma 90.00
_symmetry_space_group_name_H-M 'F m -3 m'
_symmetry_Int_Tables_number 225
_symmetry_space_group_name_Hall '-F 4 2 3'
loop_
_atom_site_label
_atom_site_fract_x
_atom_site_fract_y
_atom_site_fract_z
Rb1 0.2500 0.2500 0.2500
Y1 0.0000 0.0000 0.0000
Cu1 0.0000 0.0000 0.5000
I1 0.0000 0.0000 0.2561
```

Largest 10 diffraction maxima, sorted by position, 10 to 80 degrees two-theta:
index, 2theta, Rel. int.
2 0 0, 14.97, 26.8
2 2 2, 26.07, 96.7
4 0 0, 30.19, 100.0
4 2 0, 33.86, 13.9
4 4 0, 43.23, 73.1
6 2 2, 51.18, 43.7
4 4 4, 53.63, 25.4
6 6 2, 69.17, 17.6
8 4 0, 71.24, 32.0
8 4 4, 79.28, 23.8

No. 6
This entry pairs a crystal structure of Cs2Pr10Co2I17 with its simulated XRD peak list. Radiation: copper Kα. Structure: DFT lattice parameters and positions (GGA-PBE).
Kinematic intensities with the Lorentz-polarization factor, no thermal factor.

Structure:
```
data_Cs2Pr10Co2I17
_chemical_formula_sum 'Cs4 Pr20 Co4 I34'
_cell_length_a 13.7208
_cell_length_b 19.0321
_cell_length_c 10.0061
_cell_angle_alpha 90.00
_cell_angle_beta 95.31
_cell_angle_gamma 90.00
_symmetry_space_group_name_H-M 'C 1 2/m 1'
_symmetry_Int_Tables_number 12
loop_
_symmetry_equiv_pos_as_xyz
'x,y,z'
'-x,-y,-z'
'-x,y,-z'
'x,-y,z'
'x+1/2,y+1/2,z'
'-x+1/2,-y+1/2,-z'
'-x+1/2,y+1/2,-z'
'x+1/2,-y+1/2,z'
loop_
_atom_site_label
_atom_site_fract_x
_atom_site_fract_y
_atom_site_fract_z
Cs1 0.0000 0.1741 0.0000
Pr1 0.0626 0.5000 0.6765
Pr2 0.1422 0.3508 0.4278
Pr3 0.1750 0.0000 0.4446
Pr4 0.2043 0.5000 0.1877
Co1 0.1409 0.5000 0.4306
I1 0.0000 0.5000 0.0000
I2 0.0626 0.0000 0.7177
I3 0.0735 0.3267 0.7259
I4 0.1413 0.1690 0.4205
I5 0.2118 0.0000 0.1307
I6 0.2176 0.3331 0.1383
```

Largest 10 diffraction maxima, sorted by position, 10 to 80 degrees two-theta:
index, 2theta, Rel. int.
1 3 2, 24.07, 42.9
0 6 0, 28.13, 97.7
4 0 1, 28.40, 100.0
2 0 -3, 28.78, 88.4
2 0 4, 39.64, 33.4
4 6 1, 40.40, 66.5
2 6 -3, 40.68, 63.7
6 0 -2, 42.08, 30.0
2 6 4, 49.32, 37.9
6 6 -2, 51.38, 31.6

No. 7
This entry pairs a crystal structure of K3PrF6 with its simulated XRD peak list. Radiation: copper Kα. Structure: DFT lattice parameters and positions (GGA-PBE).
Kinematic intensities with the Lorentz-polarization factor, no thermal factor.

Structure:
```
data_K3PrF6
_chemical_formula_sum 'K12 Pr4 F24'
_cell_length_a 9.6767
_cell_length_b 9.6767
_cell_length_c 9.6767
_cell_angle_alpha 90.00
_cell_angle_beta 90.00
_cell_angle_gamma 90.00
_symmetry_space_group_name_H-M 'F m -3 m'
_symmetry_Int_Tables_number 225
_symmetry_space_group_name_Hall '-F 4 2 3'
loop_
_atom_site_label
_atom_site_fract_x
_atom_site_fract_y
_atom_site_fract_z
K1 0.0000 0.0000 0.0000
K2 0.2500 0.2500 0.2500
Pr1 0.0000 0.0000 0.5000
F1 0.0000 0.0000 0.2629
```

Largest 10 diffraction maxima, sorted by position, 10 to 80 degrees two-theta:
index, 2theta, Rel. int.
1 1 1, 15.86, 49.5
2 0 0, 18.34, 45.4
2 2 0, 26.05, 100.0
3 1 1, 30.64, 24.1
4 0 0, 37.17, 54.1
4 2 0, 41.74, 21.2
4 2 2, 45.95, 40.2
4 4 0, 53.57, 33.2
6 2 0, 60.51, 18.2
6 4 2, 73.19, 20.3

No. 8
This entry pairs a crystal structure of NaTaSi2GeSO12 with its simulated XRD peak list. Radiation: copper Kα. Structure: DFT lattice parameters and positions (GGA-PBE).
Kinematic intensities with the Lorentz-polarization factor, no thermal factor.

Structure:
```
data_NaTaSi2GeSO12
_chemical_formula_sum 'Na4 Ta4 Si8 Ge4 S4 O48'
_cell_length_a 15.0026
_cell_length_b 8.7901
_cell_length_c 9.2726
_cell_angle_alpha 90.00
_cell_angle_beta 125.98
_cell_angle_gamma 90.00
_symmetry_space_group_name_H-M 'C 1 c 1'
_symmetry_Int_Tables_number 9
loop_
_symmetry_equiv_pos_as_xyz
'x,y,z'
'x,-y,z+1/2'
'x+1/2,y+1/2,z'
'x+1/2,-y+1/2,z+1/2'
loop_
_atom_site_label
_atom_site_fract_x
_atom_site_fract_y
_atom_site_fract_z
Na1 0.0000 0.2418 0.0000
Ta1 0.3614 0.2545 0.0582
Si1 0.2526 0.0391 0.2392
Si2 0.3959 0.3802 0.7370
Ge1 0.1546 0.2102 0.4225
S1 0.1092 0.4017 0.7336
O1 0.0033 0.2054 0.2668
O2 0.0170 0.3207 0.7258
O3 0.1019 0.4367 0.2545
O4 0.1075 0.3687 0.5784
O5 0.1684 0.0566 0.5567
O6 0.1691 0.1475 0.2529
O7 0.2060 0.3315 0.9019
O8 0.2842 0.3105 0.5567
O9 0.3230 0.0714 0.9134
O10 0.3340 0.1463 0.2186
O11 0.3936 0.3587 0.9104
O12 0.4020 0.4352 0.2115
```

Largest 10 diffraction maxima, sorted by position, 10 to 80 degrees two-theta:
index, 2theta, Rel. int.
1 1 -1, 13.89, 61.9
2 0 -2, 19.16, 50.9
1 1 1, 19.93, 82.0
0 2 0, 20.20, 51.7
3 1 -1, 20.46, 100.0
2 2 -2, 27.98, 50.8
3 1 -3, 30.68, 34.3
0 2 2, 31.35, 31.3
3 1 1, 32.33, 33.6
3 3 -1, 35.53, 28.9